Record 1
For Nd4Sm2Er, a crystal structure in Alexandria, relaxed with PBE gives the theoretical PXRD pattern in this record (Cu Kα (weighted mean of Kα1 and Kα2)).

Atomic structure:
```
data_Nd4Sm2Er
_chemical_formula_sum 'Nd32 Sm16 Er8'
_cell_length_a 12.109
_cell_length_b 24.436
_cell_length_c 6.509
_cell_angle_alpha 90.00
_cell_angle_beta 90.00
_cell_angle_gamma 90.00
_symmetry_space_group_name_H-M 'F d d 2'
_symmetry_Int_Tables_number 43
_symmetry_space_group_name_Hall 'F 2 -2d'
loop_
_atom_site_label
_atom_site_type_symbol
_atom_site_fract_x
_atom_site_fract_y
_atom_site_fract_z
Nd1 Nd 0.051 0.070 0.000
Nd2 Nd 0.066 0.143 0.530
Sm1 Sm 0.024 0.214 0.053
Er1 Er 0.000 0.000 0.496
```

Main lines, in order of falling intensity (5° ≤ 2θ ≤ 70°):
- hkl 1 7 1, 2θ 30.0, 2.982 Å, I 1000
- hkl 2 0 2, 2θ 31.2, 2.867 Å, I 651
- hkl 3 5 1, 2θ 31.9, 2.808 Å, I 316
- hkl 4 2 0, 2θ 30.4, 2.938 Å, I 316
- hkl 3 7 1, 2θ 36.7, 2.447 Å, I 283
- hkl 2 2 2, 2θ 32.1, 2.791 Å, I 233
- hkl 2 14 0, 2θ 54.7, 1.677 Å, I 218
- hkl 1 7 3, 2θ 50.1, 1.822 Å, I 204
- hkl 0 14 2, 2θ 60.2, 1.538 Å, I 141
- hkl 4 0 0, 2θ 29.5, 3.027 Å, I 119



Record 2
For NdSm12Er5, a crystal structure in Alexandria, relaxed with PBE gives the theoretical PXRD pattern in this record (Cu Kα (weighted mean of Kα1 and Kα2)).

Atomic structure:
```
data_NdSm12Er5
_chemical_formula_sum 'Nd2 Sm24 Er10'
_cell_length_a 15.243
_cell_length_b 15.265
_cell_length_c 5.089
_cell_angle_alpha 90.00
_cell_angle_beta 90.00
_cell_angle_gamma 90.00
_symmetry_space_group_name_H-M 'C m m m'
_symmetry_Int_Tables_number 65
_symmetry_space_group_name_Hall '-C 2 2'
loop_
_atom_site_label
_atom_site_type_symbol
_atom_site_fract_x
_atom_site_fract_y
_atom_site_fract_z
Nd1 Nd 0.000 0.000 0.000
Sm1 Sm 0.165 0.334 0.500
Sm2 Sm 0.165 0.500 0.000
Sm3 Sm 0.166 0.167 0.000
Sm4 Sm 0.167 0.000 0.500
Er1 Er 0.000 0.168 0.500
Er2 Er 0.000 0.333 0.000
Er3 Er 0.000 0.500 0.500
```

Main lines, in order of falling intensity (5° ≤ 2θ ≤ 70°):
- hkl 3 3 1, 2θ 30.4, 2.936 Å, I 1000
- hkl 6 0 0, 2θ 35.3, 2.543 Å, I 506
- hkl 3 9 1, 2θ 60.4, 1.533 Å, I 430
- hkl 6 6 0, 2θ 50.8, 1.798 Å, I 362
- hkl 6 6 2, 2θ 63.3, 1.468 Å, I 124



Record 3
For Nd8Sm3Er, a crystal structure in Alexandria, relaxed with PBE gives the theoretical PXRD pattern in this record (Cu Kα (weighted mean of Kα1 and Kα2)).

Atomic structure:
```
data_Nd8Sm3Er
_chemical_formula_sum 'Nd16 Sm6 Er2'
_cell_length_a 6.690
_cell_length_b 11.358
_cell_length_c 11.688
_cell_angle_alpha 90.00
_cell_angle_beta 90.00
_cell_angle_gamma 90.00
_symmetry_space_group_name_H-M 'I 2 2 2'
_symmetry_Int_Tables_number 23
loop_
_symmetry_equiv_pos_as_xyz
'x,y,z'
'-x,-y,z'
'x,-y,-z'
'-x,y,-z'
'x+1/2,y+1/2,z+1/2'
'-x+1/2,-y+1/2,z+1/2'
'x+1/2,-y+1/2,-z+1/2'
'-x+1/2,y+1/2,-z+1/2'
loop_
_atom_site_label
_atom_site_type_symbol
_atom_site_fract_x
_atom_site_fract_y
_atom_site_fract_z
Nd1 Nd 0.000 0.164 0.249
Nd2 Nd 0.242 0.259 0.499
Sm1 Sm 0.000 0.000 0.500
Sm2 Sm 0.000 0.500 0.256
Er1 Er 0.000 0.000 0.000
```

Main lines, in order of falling intensity (5° ≤ 2θ ≤ 70°):
- hkl 1 3 2, 2θ 31.2, 2.870 Å, I 1000
- hkl 0 0 4, 2θ 30.6, 2.922 Å, I 573
- hkl 2 0 2, 2θ 30.8, 2.903 Å, I 471
- hkl 2 2 2, 2θ 34.7, 2.585 Å, I 386
- hkl 2 2 0, 2θ 31.0, 2.882 Å, I 297
- hkl 3 3 2, 2θ 50.0, 1.825 Å, I 259
- hkl 2 6 4, 2θ 65.0, 1.435 Å, I 253
- hkl 2 2 4, 2θ 44.1, 2.052 Å, I 252
- hkl 0 4 2, 2θ 35.1, 2.554 Å, I 208
- hkl 1 3 6, 2θ 54.7, 1.677 Å, I 202



Record 4
For NdSm8Er3, a crystal structure in Alexandria, relaxed with PBE gives the theoretical PXRD pattern in this record (Cu Kα (weighted mean of Kα1 and Kα2)).

Atomic structure:
```
data_NdSm8Er3
_chemical_formula_sum 'Nd2 Sm16 Er6'
_cell_length_a 6.567
_cell_length_b 11.323
_cell_length_c 11.533
_cell_angle_alpha 90.00
_cell_angle_beta 90.00
_cell_angle_gamma 90.00
_symmetry_space_group_name_H-M 'I m m m'
_symmetry_Int_Tables_number 71
_symmetry_space_group_name_Hall '-I 2 2'
loop_
_atom_site_label
_atom_site_type_symbol
_atom_site_fract_x
_atom_site_fract_y
_atom_site_fract_z
Nd1 Nd 0.000 0.000 0.000
Sm1 Sm 0.000 0.166 0.251
Sm2 Sm 0.243 0.260 0.000
Er1 Er 0.000 0.000 0.500
Er2 Er 0.000 0.500 0.239
```

Main lines, in order of falling intensity (5° ≤ 2θ ≤ 70°):
- hkl 1 3 2, 2θ 31.4, 2.848 Å, I 1000
- hkl 0 0 4, 2θ 31.0, 2.883 Å, I 378
- hkl 2 2 2, 2θ 35.2, 2.548 Å, I 243
- hkl 2 2 4, 2θ 44.8, 2.022 Å, I 209
- hkl 1 3 6, 2θ 55.4, 1.658 Å, I 193
- hkl 2 2 0, 2θ 31.5, 2.840 Å, I 193
- hkl 2 0 0, 2θ 27.2, 3.276 Å, I 185
- hkl 1 1 2, 2θ 22.0, 4.045 Å, I 173
- hkl 3 3 2, 2θ 50.7, 1.799 Å, I 172
- hkl 2 6 4, 2θ 65.6, 1.423 Å, I 168